Record 1
For TbPrPdPt, a PBE-relaxed structure gives the calculated powder X-ray diffraction pattern in this record (λ = 1.5418 Å (Cu Kα)).
Lines closer than 0.1° are merged.

Main lines, low angle first (10° ≤ 2θ ≤ 90°):
index	2θ (°)	I (rel.)
0 0 2	16.4	12
1 1 1	31.5	94
0 0 4	33.1	29
0 1 3	34.0	15
1 0 4	38.7	20
2 0 0	39.5	100
0 2 0	47.0	19
2 0 4	52.5	21
2 2 0	63.1	15
3 1 3	71.8	12
2 2 4	73.2	12
2 1 7	78.8	12

a = 4.553 Å, b = 3.863 Å, c = 10.823 Å
α = 90.00°, β = 90.00°, γ = 90.00°
Space group Amm2 (No. 38)
One atom of each set of equivalent atoms:
Tb 0.000 0.000 0.000 x2
Pr 0.500 0.000 0.274 x2
Pd 0.000 0.000 0.720 x2
Pt 0.500 0.000 0.547 x2



Record 2
For PrPuPd, a PBE-relaxed structure gives the calculated powder X-ray diffraction pattern in this record (λ = 1.5418 Å (Cu Kα)).
Lines closer than 0.1° are merged.

Main lines, low angle first (10° ≤ 2θ ≤ 90°):
index	2θ (°)	I (rel.)
0 0 1	10.6	38
1 1 1	31.5	100
0 0 3	32.1	35
1 1 2	36.7	76
0 2 0	38.8	29
2 0 0	45.5	18
0 2 3	51.2	19
1 1 4	53.2	15
2 0 3	56.7	14
2 2 0	61.3	15
1 3 1	65.7	14
2 2 3	70.9	15

a = 3.990 Å, b = 4.638 Å, c = 8.366 Å
α = 90.00°, β = 90.00°, γ = 90.00°
Space group Pmmn (No. 59, origin choice 2)
One atom of each set of equivalent atoms:
Pr 0.250 0.250 0.143 x2
Pu 0.250 0.750 0.491 x2
Pd 0.250 0.250 0.779 x2